Entry 1:
This entry pairs a crystal structure of CaFeO3 with its computed powder X-ray diffraction pattern. Radiation: Cu Kα (λ = 1.5418 Å). Structure: a cell relaxed with GGA+U.

Cell and atoms:
Cell lengths 5.447, 7.641, 5.386 Å; angles 90.00, 90.00, 90.00 degrees
Space group Pnma (No. 62)
Symmetry-distinct sites (fractional):
1 Ca 0.042 0.250 0.008 [4 per cell]
2 Fe 0.000 0.000 0.500 [4 per cell]
3 O 0.017 0.750 0.427 [4 per cell]
4 O 0.211 0.538 0.790 [8 per cell]

Principal peaks in the range 2θ from 15° to 90°, low angle first:
index	two_theta	d/Å	Rel. int.
1 0 1	23.2	3.827	266
2 0 0	32.9	2.723	251
1 2 1	33.1	2.705	1000
0 0 2	33.3	2.693	239
2 0 2	47.5	1.915	403
0 4 0	47.6	1.910	218
1 2 3	59.3	1.557	348
2 4 2	69.5	1.352	185

---

Entry 2:
This entry pairs a crystal structure of CaFe2O4 with its computed powder X-ray diffraction pattern. Radiation: Cu Kα (λ = 1.5418 Å). Structure: a cell relaxed with GGA+U.

Cell and atoms:
Cell lengths 5.409, 5.409, 3.371 Å; angles 90.00, 90.00, 90.00 degrees
Space group P4/mmm (No. 123)
Symmetry-distinct sites (fractional):
1 Ca 0.000 0.000 0.000 [1 per cell]
2 Fe 0.000 0.500 0.500 [2 per cell]
3 O 0.237 0.237 0.500 [4 per cell]

Principal peaks in the range 2θ from 15° to 90°, low angle first:
index	two_theta	d/Å	Rel. int.
1 0 0	16.4	5.409	344
1 1 0	23.3	3.825	339
0 0 1	26.4	3.371	463
2 0 0	33.1	2.705	210
1 1 1	35.5	2.529	1000
2 2 0	47.5	1.912	389
2 2 1	55.2	1.663	176
3 1 1	60.7	1.525	376

---

Entry 3:
This entry pairs a crystal structure of CaFeO3 with its computed powder X-ray diffraction pattern. Radiation: Cu Kα (λ = 1.5418 Å). Structure: a cell relaxed with GGA+U.

Cell and atoms:
Cell lengths 3.837, 3.837, 3.837 Å; angles 90.00, 90.00, 90.00 degrees
Space group Pm-3m (No. 221)
Symmetry-distinct sites (fractional):
1 Ca 0.000 0.000 0.000 [1 per cell]
2 Fe 0.500 0.500 0.500 [1 per cell]
3 O 0.000 0.500 0.500 [3 per cell]

Principal peaks in the range 2θ from 15° to 90°, low angle first:
index	two_theta	d/Å	Rel. int.
1 0 0	23.2	3.837	207
1 1 0	33.0	2.713	1000
2 0 0	47.4	1.918	513
2 1 0	53.4	1.716	68
2 1 1	59.0	1.566	350
2 2 0	69.3	1.356	271
3 1 0	78.9	1.213	142
2 2 2	88.2	1.108	87

---

Copy entry 1 word for word.
This entry pairs a crystal structure of CaFeO3 with its computed powder X-ray diffraction pattern. Radiation: Cu Kα (λ = 1.5418 Å). Structure: a cell relaxed with GGA+U.

Cell and atoms:
Cell lengths 5.447, 7.641, 5.386 Å; angles 90.00, 90.00, 90.00 degrees
Space group Pnma (No. 62)
Symmetry-distinct sites (fractional):
1 Ca 0.042 0.250 0.008 [4 per cell]
2 Fe 0.000 0.000 0.500 [4 per cell]
3 O 0.017 0.750 0.427 [4 per cell]
4 O 0.211 0.538 0.790 [8 per cell]

Principal peaks in the range 2θ from 15° to 90°, low angle first:
index	two_theta	d/Å	Rel. int.
1 0 1	23.2	3.827	266
2 0 0	32.9	2.723	251
1 2 1	33.1	2.705	1000
0 0 2	33.3	2.693	239
2 0 2	47.5	1.915	403
0 4 0	47.6	1.910	218
1 2 3	59.3	1.557	348
2 4 2	69.5	1.352	185

---

Q: Which formula does entry 3 have?
A: CaFeO3